The following is a calculated powder diffractogram of Li4IrPtPb2. It was derived from the GGA-PBE geometry in OQMD, using Cu Kα (weighted mean of Kα1 and Kα2).

Structural model:
```
data_Li4IrPtPb2
_cell_length_a 4.554
_cell_length_b 4.554
_cell_length_c 6.456
_cell_angle_alpha 90.00
_cell_angle_beta 90.00
_cell_angle_gamma 90.00
_space_group_name_H-M_alt 'P -4 m 2'
_space_group_IT_number 115
_space_group_name_Hall 'P -4 -2'
loop_
_atom_site_label
_atom_site_fract_x
_atom_site_fract_y
_atom_site_fract_z
Li1 0.000 0.000 0.000
Li2 0.000 0.500 0.247
Li3 0.500 0.500 0.500
Ir1 0.000 0.000 0.500
Pt1 0.500 0.500 0.000
Pb1 0.000 0.500 0.742
```

Top 8 peaks for 2θ = 10–90°, low angle first:
- hkl 1 0 1, d 3.721, 2θ = 23.91°, intensity 100.0
- hkl 2 0 0, d 2.279, 2θ = 39.54°, intensity 91.8
- hkl 2 1 1, d 1.943, 2θ = 46.74°, intensity 51.9
- hkl 2 2 0, d 1.610, 2θ = 57.21°, intensity 10.7
- hkl 3 0 1, d 1.479, 2θ = 62.84°, intensity 21.7
- hkl 3 1 2, d 1.316, 2θ = 71.74°, intensity 32.7
- hkl 3 2 1, d 1.240, 2θ = 76.89°, intensity 12.4
- hkl 2 2 4, d 1.140, 2θ = 85.11°, intensity 7.1



The following is a calculated powder diffractogram of CdHgBr4. It was derived from the GGA-PBE geometry in OQMD, using Cu Kα (weighted mean of Kα1 and Kα2).

Structural model:
```
data_CdHgBr4
_cell_length_a 4.243
_cell_length_b 4.243
_cell_length_c 12.344
_cell_angle_alpha 90.00
_cell_angle_beta 90.00
_cell_angle_gamma 90.00
_space_group_name_H-M_alt 'P -4 m 2'
_space_group_IT_number 115
_space_group_name_Hall 'P -4 -2'
loop_
_atom_site_label
_atom_site_fract_x
_atom_site_fract_y
_atom_site_fract_z
Cd1 0.000 0.000 0.000
Hg1 0.500 0.500 0.500
Br1 0.000 0.500 0.129
Br2 0.000 0.500 0.632
```

Top 8 peaks for 2θ = 10–90°, low angle first:
- hkl 0 0 2, d 6.172, 2θ = 14.35°, intensity 56.7
- hkl 1 0 1, d 4.013, 2θ = 22.15°, intensity 100.0
- hkl 1 0 2, d 3.497, 2θ = 25.47°, intensity 84.5
- hkl 1 0 3, d 2.954, 2θ = 30.26°, intensity 46.5
- hkl 1 1 2, d 2.699, 2θ = 33.20°, intensity 42.2
- hkl 1 1 4, d 2.151, 2θ = 42.00°, intensity 78.0
- hkl 2 0 0, d 2.122, 2θ = 42.61°, intensity 37.8
- hkl 3 1 4, d 1.231, 2θ = 77.58°, intensity 25.6